This entry pairs a crystal structure of K2Np2PtS6 with its computed powder diffractogram. Radiation: a wavelength of 1.5418 Å. Structure: a structure optimized by DFT (PBE).
Intensities are scaled so that the largest is 1000.

Top 6 peaks for 10 to 80 degrees two-theta, by angle:
| 2theta | intensity |
| --- | --- |
| 11.56 | 1000 |
| 27.19 | 307 |
| 28.07 | 186 |
| 31.10 | 419 |
| 31.30 | 195 |
| 47.52 | 237 |

Structural model:
abc: 6.626 6.626 7.947
angles: 97.70 97.70 119.96
Positions (direct):
K1 0.164 0.836 0.000
K2 0.836 0.164 0.000
Np1 0.331 0.669 0.500
Np2 0.669 0.331 0.500
Pt1 0.000 0.000 0.500
S1 0.068 0.399 0.698
S2 0.244 0.244 0.317
S3 0.399 0.068 0.698
S4 0.601 0.932 0.302
S5 0.756 0.756 0.683
S6 0.932 0.601 0.302

This entry pairs a crystal structure of RbCd4Hg8 with its computed powder diffractogram. Radiation: a wavelength of 1.5418 Å. Structure: a structure optimized by DFT (PBE).
Intensities are scaled so that the largest is 1000.

Top 6 peaks for 10 to 80 degrees two-theta, by angle:
| 2theta | intensity |
| --- | --- |
| 28.78 | 400 |
| 33.16 | 451 |
| 33.30 | 1000 |
| 33.73 | 400 |
| 37.34 | 559 |
| 37.73 | 699 |

Structural model:
abc: 8.228 8.228 8.228
angles: 97.91 97.91 136.46
Positions (direct):
Rb1 0.000 0.000 0.000
Cd1 0.000 0.000 0.500
Cd2 0.000 0.500 0.000
Cd3 0.500 0.000 0.000
Cd4 0.500 0.500 0.500
Hg1 0.000 0.351 0.351
Hg2 0.000 0.649 0.649
Hg3 0.285 0.500 0.785
Hg4 0.351 0.000 0.351
Hg5 0.500 0.285 0.785
Hg6 0.500 0.715 0.215
Hg7 0.649 0.000 0.649
Hg8 0.715 0.500 0.215

This entry pairs a crystal structure of AcUNbN3 with its computed powder diffractogram. Radiation: a wavelength of 1.5418 Å. Structure: a structure optimized by DFT (PBE).
Intensities are scaled so that the largest is 1000.

Top 6 peaks for 10 to 80 degrees two-theta, by angle:
| 2theta | intensity |
| --- | --- |
| 10.81 | 435 |
| 28.21 | 1000 |
| 29.36 | 643 |
| 32.83 | 441 |
| 34.12 | 663 |
| 35.66 | 881 |

Structural model:
abc: 7.552 3.428 8.327
angles: 90.00 100.62 90.00
Positions (direct):
Ac1 0.166 0.250 0.195
Ac2 0.834 0.750 0.805
U1 0.350 0.750 0.848
U2 0.650 0.250 0.152
Nb1 0.119 0.250 0.586
Nb2 0.881 0.750 0.414
N1 0.139 0.250 0.857
N2 0.180 0.750 0.443
N3 0.434 0.750 0.110
N4 0.566 0.250 0.890
N5 0.820 0.250 0.557
N6 0.861 0.750 0.143

This entry pairs a crystal structure of Zr7ScTl4 with its computed powder diffractogram. Radiation: a wavelength of 1.5418 Å. Structure: a structure optimized by DFT (PBE).
Intensities are scaled so that the largest is 1000.

Top 6 peaks for 10 to 80 degrees two-theta, by angle:
| 2theta | intensity |
| --- | --- |
| 18.73 | 518 |
| 32.90 | 662 |
| 33.12 | 817 |
| 37.07 | 1000 |
| 37.64 | 897 |
| 47.38 | 476 |

Structural model:
abc: 6.303 6.303 11.127
angles: 117.06 117.06 50.83
Positions (direct):
Zr1 0.000 0.000 0.000
Zr2 0.147 0.147 0.553
Zr3 0.284 0.284 0.093
Zr4 0.464 0.464 0.625
Zr5 0.536 0.536 0.375
Zr6 0.716 0.716 0.907
Zr7 0.853 0.853 0.447
Sc1 0.500 0.500 0.000
Tl1 0.092 0.092 0.781
Tl2 0.217 0.217 0.321
Tl3 0.783 0.783 0.679
Tl4 0.908 0.908 0.219